[1]
Diffraction record for LiSnN. The X-ray diffraction stick pattern is simulated, not measured: it uses the PBE geometry in the Materials Project and Cu Kα (λ = 1.5418 Å).

Top 8 peaks for 2θ from 15° to 90°, sorted by position:
17.66 deg, I = 91
31.53 deg, I = 60
36.36 deg, I = 100
48.40 deg, I = 46
56.14 deg, I = 18
59.33 deg, I = 23
64.64 deg, I = 20
68.75 deg, I = 17

Structural model:
```
6
Lattice="3.277 0.000 0.000 -1.638 2.838 0.000 0.000 0.000 10.046" Properties=species:S:1:pos:R:3 pbc="T T T"
Li 0.000 1.892 0.000
Li 1.638 0.946 5.023
Sn 0.000 0.000 2.702
Sn 0.000 0.000 7.724
N 0.000 1.892 3.876
N 1.638 0.946 8.899
```

***

[2]
Diffraction record for Cr5Si3B. The X-ray diffraction stick pattern is simulated, not measured: it uses the PBE geometry in the Materials Project and Cu Kα (λ = 1.5418 Å).

Top 8 peaks for 2θ from 15° to 90°, sorted by position:
39.20 deg, I = 38
41.12 deg, I = 20
43.84 deg, I = 100
44.72 deg, I = 45
46.45 deg, I = 78
66.45 deg, I = 17
73.01 deg, I = 19
74.28 deg, I = 14

Structural model:
```
18
Lattice="7.020 0.000 0.000 -3.510 6.080 0.000 0.000 0.000 4.707" Properties=species:S:1:pos:R:3 pbc="T T T"
Cr -0.863 1.494 1.177
Cr -2.648 4.586 3.531
Cr 1.725 0.000 1.177
Cr 0.863 1.494 3.531
Cr 0.000 4.053 0.000
Cr 0.000 4.053 2.354
Cr 3.510 2.027 0.000
Cr 3.510 2.027 2.354
Cr 5.295 0.000 3.531
Cr 2.648 4.586 1.177
Si -1.407 2.436 3.531
Si -2.104 3.644 1.177
Si 2.813 0.000 3.531
Si 1.407 2.436 1.177
Si 4.207 0.000 1.177
Si 2.104 3.644 3.531
B 0.000 0.000 0.000
B 0.000 0.000 2.354
```

***

[3]
Diffraction record for V6GaSi. The X-ray diffraction stick pattern is simulated, not measured: it uses the PBE geometry in the Materials Project and Cu Kα (λ = 1.5418 Å).

Top 8 peaks for 2θ from 15° to 90°, sorted by position:
18.69 deg, I = 8
37.91 deg, I = 35
42.59 deg, I = 100
46.88 deg, I = 73
68.47 deg, I = 6
71.68 deg, I = 19
74.84 deg, I = 34
81.02 deg, I = 13

Structural model:
```
8
Lattice="4.747 0.000 0.000 0.000 4.747 0.000 0.000 0.000 4.747" Properties=species:S:1:pos:R:3 pbc="T T T"
V 0.000 1.213 2.374
V 0.000 3.534 2.374
V 1.213 2.374 0.000
V 2.374 0.000 1.213
V 2.374 0.000 3.534
V 3.534 2.374 0.000
Ga 0.000 0.000 0.000
Si 2.374 2.374 2.374
```

***

[4]
Diffraction record for TbTmIr2. The X-ray diffraction stick pattern is simulated, not measured: it uses the PBE geometry in the Materials Project and Cu Kα (λ = 1.5418 Å).

Top 5 peaks for 2θ from 15° to 90°, sorted by position:
26.09 deg, I = 1
37.23 deg, I = 100
53.68 deg, I = 18
67.14 deg, I = 36
79.36 deg, I = 11

Structural model:
```
4
Lattice="0.000 3.415 3.415 3.415 0.000 3.415 3.415 3.415 0.000" Properties=species:S:1:pos:R:3 pbc="T T T"
Tb 0.000 0.000 0.000
Tm 3.415 3.415 3.415
Ir 1.708 1.708 1.708
Ir 5.123 5.123 5.123
```

***

What did the first record say?
Diffraction record for LiSnN. The X-ray diffraction stick pattern is simulated, not measured: it uses the PBE geometry in the Materials Project and Cu Kα (λ = 1.5418 Å).

Top 8 peaks for 2θ from 15° to 90°, sorted by position:
17.66 deg, I = 91
31.53 deg, I = 60
36.36 deg, I = 100
48.40 deg, I = 46
56.14 deg, I = 18
59.33 deg, I = 23
64.64 deg, I = 20
68.75 deg, I = 17

Structural model:
```
6
Lattice="3.277 0.000 0.000 -1.638 2.838 0.000 0.000 0.000 10.046" Properties=species:S:1:pos:R:3 pbc="T T T"
Li 0.000 1.892 0.000
Li 1.638 0.946 5.023
Sn 0.000 0.000 2.702
Sn 0.000 0.000 7.724
N 0.000 1.892 3.876
N 1.638 0.946 8.899
```